For Li4Mn2P4H3O16, a crystal structure in Alexandria, relaxed with PBE+U gives the computed powder diffractogram in this record (CuKα).

Atomic structure:
```
data_Li4Mn2P4H3O16
_chemical_formula_sum 'Li4 Mn2 P4 H3 O16'
_cell_length_a 4.967
_cell_length_b 7.676
_cell_length_c 8.312
_cell_angle_alpha 91.01
_cell_angle_beta 91.95
_cell_angle_gamma 101.27
_symmetry_space_group_name_H-M 'P 1'
_symmetry_Int_Tables_number 1
loop_
_symmetry_equiv_pos_as_xyz
'x,y,z'
loop_
_atom_site_label
_atom_site_type_symbol
_atom_site_fract_x
_atom_site_fract_y
_atom_site_fract_z
_atom_site_occupancy
Li1 Li 0.000 0.000 0.000 1
Li2 Li 0.233 0.318 0.743 1
Li3 Li 0.493 0.467 0.217 1
Li4 Li 0.760 0.845 0.527 1
Mn1 Mn 0.119 0.157 0.370 1
Mn2 Mn 0.624 0.656 0.872 1
P1 P 0.262 0.920 0.722 1
P2 P 0.498 0.894 0.200 1
P3 P 0.741 0.420 0.541 1
P4 P 0.986 0.389 0.017 1
H1 H 0.074 0.638 0.463 1
H2 H 0.171 0.657 0.220 1
H3 H 0.592 0.144 0.860 1
O1 O 0.032 0.828 0.827 1
O2 O 0.089 0.358 0.190 1
O3 O 0.156 0.960 0.554 1
O4 O 0.222 0.490 0.919 1
O5 O 0.276 0.004 0.177 1
O6 O 0.353 0.702 0.272 1
O7 O 0.391 0.106 0.806 1
O8 O 0.488 0.805 0.703 1
O9 O 0.515 0.339 0.418 1
O10 O 0.617 0.466 0.701 1
O11 O 0.623 0.849 0.040 1
O12 O 0.721 0.968 0.327 1
O13 O 0.767 0.513 0.040 1
O14 O 0.860 0.211 0.932 1
O15 O 0.873 0.613 0.467 1
O16 O 0.969 0.315 0.562 1
```

The 10 most intense peaks (2θ = 5–70°), by intensity:
(hkl), two_theta, intensity
1 1 0, 23.64, 100.0
-1 2 1, 28.98, 53.8
1 -2 1, 29.10, 41.7
0 1 -1, 15.69, 37.9
-1 1 1, 22.23, 30.2
1 3 -2, 48.38, 28.5
0 1 -2, 24.22, 28.5
0 2 2, 32.50, 27.5
0 1 1, 16.09, 27.2
1 0 2, 28.79, 25.2